Entry 1:
# Li9Mn2Co5O16
Computed powder XRD pattern, Cu Kα (λ = 1.5418 Å). Input: the GGA+U geometry in the Materials Project.
Kinematic intensities with the Lorentz-polarization factor, no thermal factor.

Peak list (10 most intense, 2θ from 10° to 80°, by angle)
2theta, d_spacing, Rel. int., h k l
18.5, 4.804, 100, 0 0 2
34.9, 2.574, 18, 1 2 0
36.4, 2.469, 12, 2 0 1
36.9, 2.437, 12, -1 2 1
37.4, 2.405, 9, 0 0 4
42.0, 2.151, 32, 1 2 -2
44.3, 2.044, 26, 2 0 3
44.8, 2.021, 26, -1 2 3
62.4, 1.489, 8, 3 2 1
63.0, 1.476, 15, 1 -2 5

Crystal structure
abc: 5.0346 5.8895 9.6975
angles: 83.32 85.73 87.05
Space group P1 (No. 1)
Inequivalent atoms, fractional coordinates:
Li: 0.0000 0.0000 0.0000 x1
Li: 0.0015 0.4882 0.9977 x1
Li: 0.2319 0.3629 0.5121 x1
Li: 0.2519 0.8631 0.5063 x1
Li: 0.5080 0.7509 0.9961 x1
Li: 0.5153 0.2490 0.9932 x1
Li: 0.7486 0.6159 0.5043 x1
Li: 0.7572 0.1193 0.5057 x1
Li: 0.8756 0.3058 0.7514 x1
Mn: 0.1260 0.6846 0.2517 x1
Mn: 0.6264 0.4277 0.2522 x1
Co: 0.1272 0.1796 0.2527 x1
Co: 0.3713 0.0612 0.7506 x1
Co: 0.3829 0.5523 0.7529 x1
Co: 0.6268 0.9326 0.2507 x1
Co: 0.8772 0.8066 0.7525 x1
O: 0.0724 0.5960 0.6432 x1
O: 0.0848 0.0786 0.6405 x1
O: 0.2114 0.7907 0.8598 x1
O: 0.2248 0.2847 0.8588 x1
O: 0.3206 0.4736 0.1353 x1
O: 0.3279 0.9813 0.1364 x1
O: 0.4264 0.1303 0.3667 x1
O: 0.4316 0.6377 0.3690 x1
O: 0.5292 0.3288 0.6436 x1
O: 0.5431 0.8224 0.6448 x1
O: 0.6702 0.5329 0.8633 x1
O: 0.6812 0.0180 0.8605 x1
O: 0.8247 0.7307 0.1323 x1
O: 0.8309 0.2227 0.1338 x1
O: 0.9229 0.8913 0.3692 x1
O: 0.9282 0.3817 0.3721 x1

Entry 2:
# Fe3CoBi4As4O24
Computed powder XRD pattern, Cu Kα (λ = 1.5418 Å). Input: the GGA+U geometry in the Materials Project.
Kinematic intensities with the Lorentz-polarization factor, no thermal factor.

Peak list (10 most intense, 2θ from 10° to 80°, by angle)
2theta, d_spacing, Rel. int., h k l
10.3, 8.554, 32, 0 0 1
16.4, 5.396, 36, 1 -1 1
20.9, 4.246, 25, 1 1 0
23.6, 3.770, 69, 1 -1 2
25.3, 3.521, 100, 2 0 -1
25.4, 3.502, 88, 0 2 0
31.3, 2.859, 73, 1 1 -3
31.8, 2.813, 47, -2 2 1
33.2, 2.698, 33, 2 -2 2
36.3, 2.472, 30, -1 1 3

Crystal structure
abc: 7.5969 7.9121 9.1875
angles: 107.89 95.03 108.73
Space group P-1 (No. 2)
Inequivalent atoms, fractional coordinates:
Fe: 0.0000 0.0000 0.0000 x1
Fe: 0.2543 0.7582 0.0070 x2
Co: 0.5000 0.5000 0.0000 x1
Bi: 0.1818 0.0027 0.3774 x2
Bi: 0.3199 0.4979 0.6142 x2
As: 0.1975 0.4920 0.2247 x2
As: 0.3036 0.9987 0.7673 x2
O: 0.0302 0.2908 0.0824 x2
O: 0.0847 0.1962 0.5559 x2
O: 0.0865 0.0143 0.7978 x2
O: 0.1458 0.5057 0.4030 x2
O: 0.1756 0.6893 0.1924 x2
O: 0.2378 0.0041 0.1172 x2
O: 0.2813 0.4936 0.9110 x2
O: 0.3122 0.7980 0.8050 x2
O: 0.3563 0.9829 0.5895 x2
O: 0.4189 0.4834 0.1985 x2
O: 0.4197 0.3047 0.4445 x2
O: 0.4687 0.1970 0.9128 x2

Entry 3:
# KHoW2O8
Computed powder XRD pattern, Cu Kα (λ = 1.5418 Å). Input: the GGA+U geometry in the Materials Project.
Kinematic intensities with the Lorentz-polarization factor, no thermal factor.

Peak list (10 most intense, 2θ from 10° to 80°, by angle)
2theta, d_spacing, Rel. int., h k l
14.5, 6.092, 36, 1 1 -1
16.8, 5.272, 29, 0 2 0
27.3, 3.261, 97, 2 2 0
27.6, 3.236, 21, 1 3 0
28.0, 3.184, 31, 3 1 -2
29.3, 3.046, 100, 2 2 -2
31.4, 2.849, 40, 0 0 2
33.5, 2.677, 26, 3 1 0
34.0, 2.636, 22, 0 4 0
47.0, 1.934, 27, 0 4 2

Crystal structure
abc: 10.8912 10.5431 7.4739
angles: 90.00 130.33 90.00
Space group C2/c (No. 15)
Inequivalent atoms, fractional coordinates:
K: 0.0000 0.2029 0.2500 x4
Ho: 0.0000 0.2242 0.7500 x4
W: 0.1967 0.4955 0.7216 x8
O: 0.0198 0.3894 0.9668 x8
O: 0.1275 0.0871 0.6863 x8
O: 0.1897 0.4308 0.4447 x8
O: 0.2170 0.1572 0.1216 x8

Entry 4:
# Mn2PO5
Computed powder XRD pattern, Cu Kα (λ = 1.5418 Å). Input: the GGA+U geometry in the Materials Project.
Kinematic intensities with the Lorentz-polarization factor, no thermal factor.

Peak list (10 most intense, 2θ from 10° to 80°, by angle)
2theta, d_spacing, Rel. int., h k l
17.5, 5.079, 22, 1 0 1
26.9, 3.312, 100, 1 0 3
35.3, 2.540, 15, 2 0 2
36.8, 2.443, 24, 2 1 1
42.4, 2.132, 26, 2 1 3
46.1, 1.970, 15, 2 2 0
54.2, 1.693, 14, 3 0 3
55.3, 1.661, 27, 2 2 4
55.5, 1.655, 20, 2 0 6
67.2, 1.393, 11, 4 0 0

Crystal structure
abc: 5.5731 5.5731 12.3402
angles: 90.00 90.00 90.00
Space group I4_1/amd (No. 141, origin choice 2)
Inequivalent atoms, fractional coordinates:
Mn: 0.0000 0.0000 0.0000 x8
P: 0.0000 0.2500 0.3750 x4
O: 0.0000 0.0163 0.3066 x16
O: 0.0000 0.2500 0.8750 x4

Entry 5:
# Li6Mn2C4SO16
Computed powder XRD pattern, Cu Kα (λ = 1.5418 Å). Input: the GGA+U geometry in the Materials Project.
Kinematic intensities with the Lorentz-polarization factor, no thermal factor.

Peak list (10 most intense, 2θ from 10° to 80°, by angle)
2theta, d_spacing, Rel. int., h k l
11.4, 7.773, 24, 1 1 1
21.9, 4.060, 100, 3 1 1
26.5, 3.366, 34, 4 0 0
34.6, 2.591, 40, 5 1 1
37.8, 2.380, 35, 4 4 0
39.6, 2.276, 40, 5 3 1
44.6, 2.030, 17, 6 2 2
52.2, 1.753, 16, 5 5 3
59.5, 1.555, 25, 5 5 5
59.9, 1.544, 13, 6 6 2

Crystal structure
abc: 13.4641 13.4641 13.4641
angles: 90.00 90.00 90.00
Space group Fd-3 (No. 203, origin choice 2)
Inequivalent atoms, fractional coordinates:
Li: 0.0918 0.3750 0.3750 x48
Mn: 0.0000 0.0000 0.5000 x16
C: 0.0237 0.0237 0.7263 x32
S: 0.1250 0.1250 0.1250 x8
O: 0.0204 0.2930 0.5936 x96
O: 0.0608 0.0608 0.0608 x32